No. 1
For Sr2CdSn3Au4, the GGA-PBE geometry in Alexandria gives the simulated powder X-ray diffraction pattern in this record (Cu Kα X-rays).

Peak list (10 most intense, 15 to 90 degrees two-theta, in order of rising 2θ)
5.757 Å, 15.39°, I = 24
4.367 Å, 20.34°, I = 31
2.977 Å, 30.01°, I = 41
2.887 Å, 30.98°, I = 100
2.360 Å, 38.14°, I = 77
2.180 Å, 41.42°, I = 78
2.069 Å, 43.74°, I = 26
1.669 Å, 55.04°, I = 27
1.445 Å, 64.51°, I = 25
1.325 Å, 71.17°, I = 29

Crystal structure
```
data_Sr2CdSn3Au4
_chemical_formula_sum 'Sr2 Cd1 Sn3 Au4'
_cell_length_a 4.7193
_cell_length_b 4.7193
_cell_length_c 11.5131
_cell_angle_alpha 90.00
_cell_angle_beta 90.00
_cell_angle_gamma 90.00
_symmetry_space_group_name_H-M 'P 1'
_symmetry_Int_Tables_number 1
_symmetry_space_group_name_Hall 'P 1'
loop_
_atom_site_label
_atom_site_type_symbol
_atom_site_fract_x
_atom_site_fract_y
_atom_site_fract_z
Sr1 Sr 0.0000 0.5000 0.2408
Sr2 Sr 0.5000 0.0000 0.7592
Cd1 Cd 0.0000 0.0000 0.5000
Sn1 Sn 0.0000 0.5000 0.8707
Sn2 Sn 0.5000 0.0000 0.1293
Sn3 Sn 0.5000 0.5000 0.5000
Au1 Au 0.0000 0.0000 0.0000
Au2 Au 0.0000 0.5000 0.6366
Au3 Au 0.5000 0.0000 0.3634
Au4 Au 0.5000 0.5000 0.0000
```

---

No. 2
For SrCdSnAu2, the GGA-PBE geometry in Alexandria gives the simulated powder X-ray diffraction pattern in this record (Cu Kα X-rays).

Peak list (10 most intense, 15 to 90 degrees two-theta, in order of rising 2θ)
4.250 Å, 20.90°, I = 77
3.062 Å, 29.17°, I = 56
2.845 Å, 31.45°, I = 100
2.260 Å, 39.90°, I = 85
2.233 Å, 40.39°, I = 83
2.186 Å, 41.30°, I = 65
1.818 Å, 50.18°, I = 25
1.598 Å, 57.70°, I = 29
1.571 Å, 58.77°, I = 46
1.299 Å, 72.78°, I = 30

Crystal structure
```
data_SrCdSnAu2
_chemical_formula_sum 'Sr1 Cd1 Sn1 Au2'
_cell_length_a 7.0148
_cell_length_b 7.0148
_cell_length_c 7.0148
_cell_angle_alpha 142.42
_cell_angle_beta 142.42
_cell_angle_gamma 54.20
_symmetry_space_group_name_H-M 'P 1'
_symmetry_Int_Tables_number 1
_symmetry_space_group_name_Hall 'P 1'
loop_
_atom_site_label
_atom_site_type_symbol
_atom_site_fract_x
_atom_site_fract_y
_atom_site_fract_z
Sr1 Sr 0.0000 0.0000 0.0000
Cd1 Cd 0.2500 0.7500 0.5000
Sn1 Sn 0.7500 0.2500 0.5000
Au1 Au 0.3907 0.3907 0.0000
Au2 Au 0.6093 0.6093 0.0000
```

---

No. 3
For Sr3Cd6Au5, the GGA-PBE geometry in Alexandria gives the simulated powder X-ray diffraction pattern in this record (Cu Kα X-rays).

Peak list (10 most intense, 15 to 90 degrees two-theta, in order of rising 2θ)
4.277 Å, 20.77°, I = 27
2.803 Å, 31.92°, I = 100
2.789 Å, 32.09°, I = 33
2.594 Å, 34.58°, I = 29
2.401 Å, 37.46°, I = 22
2.362 Å, 38.09°, I = 37
2.346 Å, 38.36°, I = 58
2.274 Å, 39.63°, I = 24
2.197 Å, 41.08°, I = 27
2.191 Å, 41.21°, I = 29

Crystal structure
```
data_Sr3Cd6Au5
_chemical_formula_sum 'Sr6 Cd12 Au10'
_cell_length_a 4.6926
_cell_length_b 14.1723
_cell_length_c 10.3948
_cell_angle_alpha 90.00
_cell_angle_beta 90.00
_cell_angle_gamma 90.00
_symmetry_space_group_name_H-M 'P 1'
_symmetry_Int_Tables_number 1
_symmetry_space_group_name_Hall 'P 1'
loop_
_atom_site_label
_atom_site_type_symbol
_atom_site_fract_x
_atom_site_fract_y
_atom_site_fract_z
Sr1 Sr 0.2500 0.0574 0.2456
Sr2 Sr 0.2500 0.4426 0.2456
Sr3 Sr 0.2500 0.7500 0.2701
Sr4 Sr 0.7500 0.2500 0.7299
Sr5 Sr 0.7500 0.5574 0.7544
Sr6 Sr 0.7500 0.9426 0.7544
Cd1 Cd 0.2500 0.0705 0.5865
Cd2 Cd 0.2500 0.2500 0.0317
Cd3 Cd 0.2500 0.2500 0.4337
Cd4 Cd 0.2500 0.4295 0.5865
Cd5 Cd 0.2500 0.6007 0.9853
Cd6 Cd 0.2500 0.8993 0.9853
Cd7 Cd 0.7500 0.1007 0.0147
Cd8 Cd 0.7500 0.3993 0.0147
Cd9 Cd 0.7500 0.5705 0.4135
Cd10 Cd 0.7500 0.7500 0.5663
Cd11 Cd 0.7500 0.7500 0.9683
Cd12 Cd 0.7500 0.9295 0.4135
Au1 Au 0.2500 0.0905 0.8564
Au2 Au 0.2500 0.4095 0.8564
Au3 Au 0.2500 0.6316 0.5522
Au4 Au 0.2500 0.7500 0.7864
Au5 Au 0.2500 0.8684 0.5522
Au6 Au 0.7500 0.1316 0.4478
Au7 Au 0.7500 0.2500 0.2136
Au8 Au 0.7500 0.3684 0.4478
Au9 Au 0.7500 0.5905 0.1436
Au10 Au 0.7500 0.9095 0.1436
```

---

No. 4
For Sr2Cd5Au4, the GGA-PBE geometry in Alexandria gives the simulated powder X-ray diffraction pattern in this record (Cu Kα X-rays).

Peak list (10 most intense, 15 to 90 degrees two-theta, in order of rising 2θ)
4.938 Å, 17.96°, I = 89
2.847 Å, 31.42°, I = 46
2.612 Å, 34.34°, I = 96
2.523 Å, 35.58°, I = 100
2.319 Å, 38.84°, I = 52
2.276 Å, 39.60°, I = 37
2.245 Å, 40.16°, I = 40
2.175 Å, 41.53°, I = 37
1.951 Å, 46.55°, I = 33
1.224 Å, 78.10°, I = 24

Crystal structure
```
data_Sr2Cd5Au4
_chemical_formula_sum 'Sr2 Cd5 Au4'
_cell_length_a 10.5009
_cell_length_b 9.7500
_cell_length_c 5.7695
_cell_angle_alpha 80.75
_cell_angle_beta 66.41
_cell_angle_gamma 32.84
_symmetry_space_group_name_H-M 'P 1'
_symmetry_Int_Tables_number 1
_symmetry_space_group_name_Hall 'P 1'
loop_
_atom_site_label
_atom_site_type_symbol
_atom_site_fract_x
_atom_site_fract_y
_atom_site_fract_z
Sr1 Sr 0.1325 0.1325 0.8675
Sr2 Sr 0.8675 0.8675 0.1325
Cd1 Cd 0.0000 0.0000 0.5000
Cd2 Cd 0.2500 0.2500 0.2500
Cd3 Cd 0.5000 0.5000 0.0000
Cd4 Cd 0.5000 0.5000 0.5000
Cd5 Cd 0.7500 0.7500 0.7500
Au1 Au 0.2147 0.5240 0.4760
Au2 Au 0.4760 0.7853 0.2147
Au3 Au 0.5240 0.2147 0.7853
Au4 Au 0.7853 0.4760 0.5240
```

---

Copy entry 2 word for word.
For SrCdSnAu2, the GGA-PBE geometry in Alexandria gives the simulated powder X-ray diffraction pattern in this record (Cu Kα X-rays).

Peak list (10 most intense, 15 to 90 degrees two-theta, in order of rising 2θ)
4.250 Å, 20.90°, I = 77
3.062 Å, 29.17°, I = 56
2.845 Å, 31.45°, I = 100
2.260 Å, 39.90°, I = 85
2.233 Å, 40.39°, I = 83
2.186 Å, 41.30°, I = 65
1.818 Å, 50.18°, I = 25
1.598 Å, 57.70°, I = 29
1.571 Å, 58.77°, I = 46
1.299 Å, 72.78°, I = 30

Crystal structure
```
data_SrCdSnAu2
_chemical_formula_sum 'Sr1 Cd1 Sn1 Au2'
_cell_length_a 7.0148
_cell_length_b 7.0148
_cell_length_c 7.0148
_cell_angle_alpha 142.42
_cell_angle_beta 142.42
_cell_angle_gamma 54.20
_symmetry_space_group_name_H-M 'P 1'
_symmetry_Int_Tables_number 1
_symmetry_space_group_name_Hall 'P 1'
loop_
_atom_site_label
_atom_site_type_symbol
_atom_site_fract_x
_atom_site_fract_y
_atom_site_fract_z
Sr1 Sr 0.0000 0.0000 0.0000
Cd1 Cd 0.2500 0.7500 0.5000
Sn1 Sn 0.7500 0.2500 0.5000
Au1 Au 0.3907 0.3907 0.0000
Au2 Au 0.6093 0.6093 0.0000
```